Structure and calculated PXRD pattern of Er2Ga3SiPt4 (a PBE-relaxed structure; Cu Kα (weighted mean of Kα1 and Kα2)).
Neutral-atom scattering factors, no anomalous dispersion.

Principal peaks in the range 10 to 90 degrees two-theta, by intensity:
| h k l | d [Å] | 2θ (°) | intensity |
| --- | --- | --- | --- |
| 1 1 2 | 2.560 | 35.06 | 100 |
| 2 0 0 | 2.063 | 43.88 | 65 |
| 1 0 3 | 2.694 | 33.26 | 63 |
| 1 1 1 | 2.814 | 31.80 | 37 |
| 1 0 5 | 1.895 | 48.01 | 33 |
| 1 1 4 | 1.968 | 46.11 | 28 |
| 2 1 3 | 1.638 | 56.16 | 28 |
| 2 1 5 | 1.396 | 67.06 | 24 |
| 3 1 2 | 1.268 | 74.92 | 23 |
| 2 2 0 | 1.459 | 63.80 | 21 |
| 0 0 3 | 3.556 | 25.04 | 20 |
| 2 0 8 | 1.120 | 87.01 | 18 |

Cell and atoms:
```
data_Er2Ga3SiPt4
_chemical_formula_sum 'Er2 Ga3 Si1 Pt4'
_cell_length_a 4.1263
_cell_length_b 4.1263
_cell_length_c 10.6670
_cell_angle_alpha 90.00
_cell_angle_beta 90.00
_cell_angle_gamma 90.00
_symmetry_space_group_name_H-M 'P -4 m 2'
_symmetry_Int_Tables_number 115
_symmetry_space_group_name_Hall 'P -4 -2'
loop_
_atom_site_label
_atom_site_fract_x
_atom_site_fract_y
_atom_site_fract_z
Er1 0.0000 0.5000 0.2419
Ga1 0.0000 0.0000 0.0000
Ga2 0.0000 0.5000 0.6385
Si1 0.5000 0.5000 0.0000
Pt1 0.0000 0.0000 0.5000
Pt2 0.0000 0.5000 0.8689
Pt3 0.5000 0.5000 0.5000
```

Structure and calculated PXRD pattern of SmEr2Ga2Pt7 (a PBE-relaxed structure; Cu Kα (weighted mean of Kα1 and Kα2)).
Neutral-atom scattering factors, no anomalous dispersion.

Principal peaks in the range 10 to 90 degrees two-theta, by intensity:
| h k l | d [Å] | 2θ (°) | intensity |
| --- | --- | --- | --- |
| 2 2 -1 | 2.027 | 44.70 | 100 |
| 2 0 2 | 2.481 | 36.20 | 98 |
| 0 2 3 | 2.430 | 37.00 | 87 |
| 2 0 -3 | 2.638 | 33.98 | 73 |
| 0 0 5 | 2.791 | 32.07 | 53 |
| 2 0 -4 | 2.419 | 37.16 | 26 |
| 1 1 -6 | 2.130 | 42.45 | 23 |
| 1 1 -5 | 2.438 | 36.87 | 22 |
| 4 2 1 | 1.248 | 76.33 | 20 |
| 0 4 0 | 1.426 | 65.47 | 19 |
| 2 0 -2 | 2.808 | 31.87 | 18 |
| 0 2 4 | 2.206 | 40.90 | 18 |

Cell and atoms:
```
data_SmEr2Ga2Pt7
_chemical_formula_sum 'Sm2 Er4 Ga4 Pt14'
_cell_length_a 5.7677
_cell_length_b 5.7026
_cell_length_c 14.1536
_cell_angle_alpha 90.00
_cell_angle_beta 100.16
_cell_angle_gamma 90.00
_symmetry_space_group_name_H-M 'C 1 2/m 1'
_symmetry_Int_Tables_number 12
_symmetry_space_group_name_Hall '-C 2y'
loop_
_atom_site_label
_atom_site_fract_x
_atom_site_fract_y
_atom_site_fract_z
Sm1 0.0000 0.0000 0.0000
Er1 0.1391 0.0000 0.3582
Ga1 0.1138 0.5000 0.2633
Pt1 0.0000 0.5000 0.0000
Pt2 0.1544 0.5000 0.4371
Pt3 0.1810 0.2501 0.8407
```

Structure and calculated PXRD pattern of Er2Zn2GaPt5 (a PBE-relaxed structure; Cu Kα (weighted mean of Kα1 and Kα2)).
Neutral-atom scattering factors, no anomalous dispersion.

Principal peaks in the range 10 to 90 degrees two-theta, by intensity:
| h k l | d [Å] | 2θ (°) | intensity |
| --- | --- | --- | --- |
| 3 1 1 | 2.360 | 38.13 | 100 |
| 4 1 0 | 2.330 | 38.64 | 57 |
| 3 2 1 | 2.172 | 41.59 | 40 |
| 2 1 1 | 2.824 | 31.68 | 31 |
| 0 0 2 | 1.874 | 48.59 | 27 |
| 4 1 2 | 1.460 | 63.73 | 27 |
| 3 3 0 | 2.264 | 39.81 | 22 |
| 2 2 1 | 2.517 | 35.68 | 21 |
| 6 2 1 | 1.408 | 66.41 | 14 |
| 4 0 1 | 2.022 | 44.82 | 14 |
| 4 2 0 | 2.148 | 42.06 | 13 |
| 0 0 1 | 3.748 | 23.74 | 13 |

Cell and atoms:
```
data_Er2Zn2GaPt5
_chemical_formula_sum 'Er4 Zn4 Ga2 Pt10'
_cell_length_a 9.6069
_cell_length_b 9.6069
_cell_length_c 3.7476
_cell_angle_alpha 90.00
_cell_angle_beta 90.00
_cell_angle_gamma 90.00
_symmetry_space_group_name_H-M 'P 4/m b m'
_symmetry_Int_Tables_number 127
_symmetry_space_group_name_Hall '-P 4 2ab'
loop_
_atom_site_label
_atom_site_fract_x
_atom_site_fract_y
_atom_site_fract_z
Er1 0.1745 0.3255 0.0000
Zn1 0.1240 0.6240 0.0000
Ga1 0.0000 0.0000 0.0000
Pt1 0.0000 0.5000 0.5000
Pt2 0.0643 0.7987 0.5000
```

Structure and calculated PXRD pattern of ErPu3Ga12 (a PBE-relaxed structure; Cu Kα (weighted mean of Kα1 and Kα2)).
Neutral-atom scattering factors, no anomalous dispersion.

Principal peaks in the range 10 to 90 degrees two-theta, by intensity:
| h k l | d [Å] | 2θ (°) | intensity |
| --- | --- | --- | --- |
| 1 1 4 | 2.472 | 36.35 | 100 |
| 2 0 0 | 2.142 | 42.18 | 33 |
| 2 2 0 | 1.514 | 61.23 | 33 |
| 1 0 0 | 4.281 | 20.75 | 32 |
| 1 1 0 | 3.027 | 29.51 | 27 |
| 3 1 4 | 1.292 | 73.29 | 26 |
| 0 0 8 | 2.137 | 42.28 | 16 |
| 2 1 0 | 1.915 | 47.49 | 16 |
| 1 1 12 | 1.289 | 73.44 | 13 |
| 2 1 4 | 1.748 | 52.34 | 12 |
| 2 2 8 | 1.236 | 77.18 | 11 |
| 3 0 0 | 1.427 | 65.38 | 7 |

Cell and atoms:
```
data_ErPu3Ga12
_chemical_formula_sum 'Er1 Pu3 Ga12'
_cell_length_a 4.2847
_cell_length_b 4.2847
_cell_length_c 17.0991
_cell_angle_alpha 90.00
_cell_angle_beta 90.00
_cell_angle_gamma 90.00
_symmetry_space_group_name_H-M 'P 4/m m m'
_symmetry_Int_Tables_number 123
_symmetry_space_group_name_Hall '-P 4 2'
loop_
_atom_site_label
_atom_site_fract_x
_atom_site_fract_y
_atom_site_fract_z
Er1 0.0000 0.0000 0.0000
Pu1 0.0000 0.0000 0.2481
Pu2 0.0000 0.0000 0.5000
Ga1 0.0000 0.5000 0.1250
Ga2 0.0000 0.5000 0.3744
Ga3 0.5000 0.5000 0.0000
Ga4 0.5000 0.5000 0.2507
Ga5 0.5000 0.5000 0.5000
```

Structure and calculated PXRD pattern of Er2Ga3Rh (a PBE-relaxed structure; Cu Kα (weighted mean of Kα1 and Kα2)).
Neutral-atom scattering factors, no anomalous dispersion.

Principal peaks in the range 10 to 90 degrees two-theta, by intensity:
| h k l | d [Å] | 2θ (°) | intensity |
| --- | --- | --- | --- |
| 1 1 -2 | 2.581 | 34.76 | 100 |
| 3 1 -2 | 2.543 | 35.30 | 83 |
| 3 1 0 | 2.222 | 40.60 | 83 |
| 0 0 2 | 2.644 | 33.91 | 65 |
| 0 2 0 | 2.151 | 42.01 | 58 |
| 1 1 1 | 2.689 | 33.32 | 43 |
| 4 0 -2 | 2.562 | 35.03 | 39 |
| 7 1 -3 | 1.392 | 67.25 | 26 |
| 1 1 0 | 3.765 | 23.63 | 26 |
| 4 2 -2 | 1.647 | 55.81 | 20 |
| 4 2 -4 | 1.356 | 69.28 | 17 |
| 4 0 -3 | 2.214 | 40.76 | 16 |

Cell and atoms:
```
data_Er2Ga3Rh
_chemical_formula_sum 'Er4 Ga6 Rh2'
_cell_length_a 10.3058
_cell_length_b 4.3018
_cell_length_c 6.9932
_cell_angle_alpha 90.00
_cell_angle_beta 130.95
_cell_angle_gamma 90.00
_symmetry_space_group_name_H-M 'C 1 m 1'
_symmetry_Int_Tables_number 8
_symmetry_space_group_name_Hall 'C -2y'
loop_
_atom_site_label
_atom_site_fract_x
_atom_site_fract_y
_atom_site_fract_z
Er1 0.0000 0.0000 0.0000
Er2 0.0951 0.0000 0.6051
Ga1 0.2124 0.5000 0.3938
Ga2 0.3805 0.0000 0.1898
Ga3 0.3905 0.0000 0.6013
Rh1 0.2078 0.5000 0.9962
```

Structure and calculated PXRD pattern of ErGaRh4 (a PBE-relaxed structure; Cu Kα (weighted mean of Kα1 and Kα2)).
Neutral-atom scattering factors, no anomalous dispersion.

Principal peaks in the range 10 to 90 degrees two-theta, by intensity:
| h k l | d [Å] | 2θ (°) | intensity |
| --- | --- | --- | --- |
| 3 1 1 | 2.224 | 40.56 | 100 |
| 2 2 2 | 2.129 | 42.45 | 37 |
| 5 1 1 | 1.420 | 65.79 | 31 |
| 2 2 0 | 2.608 | 34.39 | 30 |
| 4 4 0 | 1.304 | 72.49 | 26 |
| 6 2 2 | 1.112 | 87.78 | 14 |
| 5 3 3 | 1.125 | 86.53 | 11 |
| 4 2 2 | 1.506 | 61.60 | 11 |
| 1 1 1 | 4.259 | 20.86 | 7 |
| 2 0 0 | 3.688 | 24.13 | 6 |
| 6 2 0 | 1.166 | 82.75 | 5 |
| 4 0 0 | 1.844 | 49.42 | 3 |

Cell and atoms:
```
data_ErGaRh4
_chemical_formula_sum 'Er4 Ga4 Rh16'
_cell_length_a 7.3762
_cell_length_b 7.3762
_cell_length_c 7.3762
_cell_angle_alpha 90.00
_cell_angle_beta 90.00
_cell_angle_gamma 90.00
_symmetry_space_group_name_H-M 'F -4 3 m'
_symmetry_Int_Tables_number 216
_symmetry_space_group_name_Hall 'F -4 2 3'
loop_
_atom_site_label
_atom_site_fract_x
_atom_site_fract_y
_atom_site_fract_z
Er1 0.0000 0.0000 0.0000
Ga1 0.2500 0.2500 0.7500
Rh1 0.1243 0.1243 0.3757
```